Nb5Ge3B: computed powder XRD pattern (CuKα), based on a crystal structure in the Materials Project, relaxed with PBE.
Peak positions follow from Bragg's law for the DFT cell and can differ from measured ones.

Structure:
a = 7.780 Å, b = 7.780 Å, c = 5.372 Å
α = 90.00°, β = 90.00°, γ = 120.00°
Sites, in units of the cell vectors:
Nb 0.000 0.244 0.250
Nb 0.000 0.756 0.750
Nb 0.244 0.000 0.250
Nb 0.244 0.244 0.750
Nb 0.333 0.667 0.000
Nb 0.333 0.667 0.500
Nb 0.667 0.333 0.000
Nb 0.667 0.333 0.500
Nb 0.756 0.000 0.750
Nb 0.756 0.756 0.250
Ge 0.000 0.401 0.750
Ge 0.000 0.599 0.250
Ge 0.401 0.000 0.750
Ge 0.401 0.401 0.250
Ge 0.599 0.000 0.250
Ge 0.599 0.599 0.750
B 0.000 0.000 0.000
B 0.000 0.000 0.500

Principal peaks in the range 2θ = 10–90°, most intense first:
39.15 deg, intensity 100
40.83 deg, intensity 74
40.15 deg, intensity 40
35.24 deg, intensity 32
63.51 deg, intensity 23
58.60 deg, intensity 16

Nd2GeB2O8: computed powder XRD pattern (CuKα), based on a crystal structure in the Materials Project, relaxed with PBE.
Peak positions follow from Bragg's law for the DFT cell and can differ from measured ones.

Structure:
a = 13.836 Å, b = 4.520 Å, c = 9.583 Å
α = 90.00°, β = 90.00°, γ = 90.00°
Sites, in units of the cell vectors:
Nd 0.140 0.042 0.026
Nd 0.140 0.958 0.526
Nd 0.360 0.458 0.526
Nd 0.360 0.542 0.026
Nd 0.640 0.458 0.974
Nd 0.640 0.542 0.474
Nd 0.860 0.042 0.474
Nd 0.860 0.958 0.974
Ge 0.000 0.423 0.750
Ge 0.000 0.577 0.250
Ge 0.500 0.077 0.250
Ge 0.500 0.923 0.750
B 0.201 0.467 0.296
B 0.201 0.533 0.796
B 0.299 0.033 0.796
B 0.299 0.967 0.296
B 0.701 0.033 0.704
B 0.701 0.967 0.204
B 0.799 0.467 0.204
B 0.799 0.533 0.704
O 0.005 0.205 0.900
O 0.005 0.795 0.400
O 0.107 0.350 0.233
O 0.107 0.650 0.733
O 0.193 0.462 0.446
O 0.193 0.538 0.946
O 0.219 0.227 0.740
O 0.219 0.773 0.240
O 0.281 0.273 0.240
O 0.281 0.727 0.740
O 0.307 0.038 0.946
O 0.307 0.962 0.446
O 0.393 0.150 0.733
O 0.393 0.850 0.233
O 0.495 0.295 0.400
O 0.495 0.705 0.900
O 0.505 0.295 0.100
O 0.505 0.705 0.600
O 0.607 0.150 0.767
O 0.607 0.850 0.267
O 0.693 0.038 0.554
O 0.693 0.962 0.054
O 0.719 0.273 0.260
O 0.719 0.727 0.760
O 0.781 0.227 0.760
O 0.781 0.773 0.260
O 0.807 0.462 0.054
O 0.807 0.538 0.554
O 0.893 0.350 0.267
O 0.893 0.650 0.767
O 0.995 0.205 0.600
O 0.995 0.795 0.100

Principal peaks in the range 2θ = 10–90°, most intense first:
27.89 deg, intensity 100
31.91 deg, intensity 56
27.63 deg, intensity 53
54.14 deg, intensity 29
37.54 deg, intensity 26
47.24 deg, intensity 25

Ni43Ge3B12: computed powder XRD pattern (CuKα), based on a crystal structure in the Materials Project, relaxed with PBE.
Peak positions follow from Bragg's law for the DFT cell and can differ from measured ones.

Structure:
a = 12.816 Å, b = 12.816 Å, c = 12.816 Å
α = 33.56°, β = 33.56°, γ = 33.56°
Sites, in units of the cell vectors:
Ni 0.000 0.000 0.000
Ni 0.000 0.337 0.663
Ni 0.000 0.663 0.337
Ni 0.048 0.571 0.571
Ni 0.071 0.071 0.548
Ni 0.071 0.548 0.071
Ni 0.125 0.125 0.125
Ni 0.163 0.498 0.838
Ni 0.163 0.838 0.498
Ni 0.168 0.168 0.834
Ni 0.168 0.832 0.832
Ni 0.168 0.834 0.168
Ni 0.191 0.191 0.191
Ni 0.309 0.309 0.309
Ni 0.331 0.331 0.671
Ni 0.331 0.671 0.331
Ni 0.332 0.668 0.668
Ni 0.337 0.000 0.663
Ni 0.337 0.663 0.000
Ni 0.428 0.428 0.953
Ni 0.428 0.953 0.428
Ni 0.455 0.927 0.927
Ni 0.498 0.163 0.838
Ni 0.498 0.838 0.163
Ni 0.500 0.500 0.500
Ni 0.548 0.071 0.071
Ni 0.571 0.048 0.571
Ni 0.571 0.571 0.048
Ni 0.663 0.000 0.337
Ni 0.663 0.337 0.000
Ni 0.668 0.332 0.668
Ni 0.668 0.668 0.332
Ni 0.671 0.331 0.331
Ni 0.690 0.690 0.690
Ni 0.810 0.810 0.810
Ni 0.832 0.168 0.832
Ni 0.832 0.832 0.168
Ni 0.834 0.168 0.168
Ni 0.838 0.163 0.498
Ni 0.838 0.498 0.163
Ni 0.927 0.455 0.927
Ni 0.927 0.927 0.455
Ni 0.953 0.428 0.428
Ge 0.375 0.375 0.375
Ge 0.625 0.625 0.625
Ge 0.875 0.875 0.875
B 0.089 0.637 0.637
B 0.137 0.137 0.590
B 0.137 0.590 0.137
B 0.363 0.363 0.911
B 0.363 0.911 0.363
B 0.410 0.864 0.864
B 0.590 0.137 0.137
B 0.637 0.089 0.637
B 0.637 0.637 0.089
B 0.864 0.410 0.864
B 0.864 0.864 0.410
B 0.911 0.363 0.363

Principal peaks in the range 2θ = 10–90°, most intense first:
45.02 deg, intensity 100
42.31 deg, intensity 32
51.68 deg, intensity 26
38.47 deg, intensity 26
77.39 deg, intensity 22
49.26 deg, intensity 22

RbGeB3O7: computed powder XRD pattern (CuKα), based on a crystal structure in the Materials Project, relaxed with PBE.
Peak positions follow from Bragg's law for the DFT cell and can differ from measured ones.

Structure:
a = 9.496 Å, b = 9.614 Å, c = 7.048 Å
α = 90.00°, β = 90.00°, γ = 90.00°
Sites, in units of the cell vectors:
Rb 0.015 0.174 0.000
Rb 0.485 0.674 0.500
Rb 0.515 0.326 0.000
Rb 0.985 0.826 0.500
Ge 0.243 0.600 0.017
Ge 0.257 0.100 0.517
Ge 0.743 0.900 0.017
Ge 0.757 0.400 0.517
B 0.025 0.277 0.551
B 0.151 0.426 0.312
B 0.177 0.481 0.643
B 0.323 0.981 0.143
B 0.349 0.926 0.812
B 0.475 0.777 0.051
B 0.525 0.223 0.551
B 0.651 0.074 0.312
B 0.677 0.019 0.643
B 0.823 0.519 0.143
B 0.849 0.574 0.812
B 0.975 0.723 0.051
O 0.062 0.319 0.355
O 0.084 0.136 0.590
O 0.085 0.379 0.691
O 0.128 0.736 0.075
O 0.192 0.439 0.124
O 0.204 0.514 0.451
O 0.249 0.064 0.268
O 0.251 0.564 0.768
O 0.296 0.014 0.951
O 0.308 0.939 0.624
O 0.372 0.236 0.575
O 0.415 0.879 0.191
O 0.416 0.636 0.090
O 0.438 0.819 0.855
O 0.562 0.181 0.355
O 0.584 0.364 0.590
O 0.585 0.121 0.691
O 0.628 0.764 0.075
O 0.692 0.061 0.124
O 0.704 0.986 0.451
O 0.749 0.436 0.268
O 0.751 0.936 0.768
O 0.796 0.486 0.951
O 0.808 0.561 0.624
O 0.872 0.264 0.575
O 0.915 0.621 0.191
O 0.916 0.864 0.090
O 0.938 0.681 0.855

Principal peaks in the range 2θ = 10–90°, most intense first:
24.43 deg, intensity 100
26.38 deg, intensity 82
25.27 deg, intensity 71
24.29 deg, intensity 68
18.19 deg, intensity 50
44.01 deg, intensity 44

Rb4Ge3B6O17: computed powder XRD pattern (CuKα), based on a crystal structure in the Materials Project, relaxed with PBE.
Peak positions follow from Bragg's law for the DFT cell and can differ from measured ones.

Structure:
a = 6.989 Å, b = 6.989 Å, c = 20.693 Å
α = 102.11°, β = 102.11°, γ = 60.82°
Sites, in units of the cell vectors:
Rb 0.169 0.831 0.500
Rb 0.177 0.640 0.314
Rb 0.453 0.964 0.263
Rb 0.457 0.939 0.078
Rb 0.640 0.177 0.814
Rb 0.831 0.169 0.000
Rb 0.939 0.457 0.578
Rb 0.964 0.453 0.763
Ge 0.149 0.606 0.117
Ge 0.159 0.475 0.959
Ge 0.256 0.807 0.787
Ge 0.475 0.159 0.459
Ge 0.606 0.149 0.617
Ge 0.807 0.256 0.287
B 0.028 0.391 0.400
B 0.069 0.880 0.658
B 0.300 0.747 0.918
B 0.373 0.982 0.665
B 0.391 0.028 0.900
B 0.460 0.601 0.672
B 0.601 0.460 0.172
B 0.652 0.694 0.415
B 0.694 0.652 0.915
B 0.747 0.300 0.418
B 0.880 0.069 0.158
B 0.982 0.373 0.165
O 0.016 0.906 0.727
O 0.031 0.310 0.326
O 0.048 0.150 0.158
O 0.133 0.442 0.039
O 0.149 0.436 0.171
O 0.150 0.048 0.658
O 0.196 0.710 0.967
O 0.199 0.703 0.848
O 0.239 0.660 0.637
O 0.243 0.386 0.427
O 0.269 0.972 0.935
O 0.310 0.031 0.826
O 0.386 0.243 0.927
O 0.391 0.632 0.142
O 0.436 0.149 0.671
O 0.442 0.133 0.539
O 0.477 0.587 0.745
O 0.485 0.912 0.410
O 0.532 0.769 0.668
O 0.547 0.585 0.923
O 0.585 0.547 0.423
O 0.587 0.477 0.245
O 0.632 0.391 0.642
O 0.636 0.864 0.907
O 0.660 0.239 0.137
O 0.703 0.199 0.348
O 0.710 0.196 0.467
O 0.769 0.532 0.168
O 0.864 0.636 0.407
O 0.869 0.923 0.610
O 0.906 0.016 0.227
O 0.912 0.485 0.910
O 0.923 0.869 0.110
O 0.972 0.269 0.435

Principal peaks in the range 2θ = 10–90°, most intense first:
25.52 deg, intensity 100
28.18 deg, intensity 53
25.17 deg, intensity 51
26.65 deg, intensity 33
27.30 deg, intensity 30
30.55 deg, intensity 29

Sm2GeB2O8: computed powder XRD pattern (CuKα), based on a crystal structure in the Materials Project, relaxed with PBE.
Peak positions follow from Bragg's law for the DFT cell and can differ from measured ones.

Structure:
a = 13.719 Å, b = 4.481 Å, c = 9.478 Å
α = 90.00°, β = 90.00°, γ = 90.00°
Sites, in units of the cell vectors:
Sm 0.140 0.041 0.026
Sm 0.140 0.959 0.526
Sm 0.360 0.459 0.526
Sm 0.360 0.541 0.026
Sm 0.640 0.459 0.974
Sm 0.640 0.541 0.474
Sm 0.860 0.041 0.474
Sm 0.860 0.959 0.974
Ge 0.000 0.423 0.750
Ge 0.000 0.577 0.250
Ge 0.500 0.077 0.250
Ge 0.500 0.923 0.750
B 0.201 0.469 0.296
B 0.201 0.531 0.796
B 0.299 0.031 0.796
B 0.299 0.969 0.296
B 0.701 0.031 0.704
B 0.701 0.969 0.204
B 0.799 0.469 0.204
B 0.799 0.531 0.704
O 0.004 0.204 0.901
O 0.004 0.796 0.401
O 0.107 0.345 0.233
O 0.107 0.655 0.733
O 0.193 0.463 0.448
O 0.193 0.537 0.948
O 0.218 0.222 0.740
O 0.218 0.778 0.240
O 0.282 0.278 0.240
O 0.282 0.722 0.740
O 0.307 0.037 0.948
O 0.307 0.963 0.448
O 0.393 0.155 0.733
O 0.393 0.845 0.233
O 0.496 0.296 0.401
O 0.496 0.704 0.901
O 0.504 0.296 0.099
O 0.504 0.704 0.599
O 0.607 0.155 0.767
O 0.607 0.845 0.267
O 0.693 0.037 0.552
O 0.693 0.963 0.052
O 0.718 0.278 0.260
O 0.718 0.722 0.760
O 0.782 0.222 0.760
O 0.782 0.778 0.260
O 0.807 0.463 0.052
O 0.807 0.537 0.552
O 0.893 0.345 0.267
O 0.893 0.655 0.767
O 0.996 0.204 0.599
O 0.996 0.796 0.099

Principal peaks in the range 2θ = 10–90°, most intense first:
28.17 deg, intensity 100
32.22 deg, intensity 57
27.88 deg, intensity 55
54.66 deg, intensity 30
18.72 deg, intensity 26
37.96 deg, intensity 26

Sr3Ge2B6O16: computed powder XRD pattern (CuKα), based on a crystal structure in the Materials Project, relaxed with PBE.
Peak positions follow from Bragg's law for the DFT cell and can differ from measured ones.

Structure:
a = 5.063 Å, b = 7.466 Å, c = 8.565 Å
α = 76.72°, β = 77.15°, γ = 89.53°
Sites, in units of the cell vectors:
Sr 0.000 0.000 0.000
Sr 0.091 0.591 0.758
Sr 0.909 0.409 0.242
Ge 0.300 0.185 0.554
Ge 0.700 0.815 0.446
B 0.270 0.745 0.304
B 0.458 0.308 0.961
B 0.459 0.089 0.242
B 0.541 0.911 0.758
B 0.542 0.692 0.039
B 0.730 0.255 0.696
O 0.028 0.307 0.641
O 0.187 0.322 0.988
O 0.268 0.184 0.354
O 0.294 0.965 0.690
O 0.325 0.936 0.207
O 0.375 0.617 0.196
O 0.387 0.705 0.454
O 0.413 0.776 0.914
O 0.587 0.224 0.086
O 0.613 0.295 0.546
O 0.625 0.383 0.804
O 0.675 0.064 0.793
O 0.706 0.035 0.310
O 0.732 0.816 0.646
O 0.813 0.678 0.012
O 0.972 0.693 0.359

Principal peaks in the range 2θ = 10–90°, most intense first:
29.87 deg, intensity 100
31.64 deg, intensity 75
29.64 deg, intensity 67
27.79 deg, intensity 55
24.41 deg, intensity 54
27.57 deg, intensity 51